Starting from a crystal structure in Alexandria, relaxed with PBE, the X-ray powder pattern of CaHo3Rh4 was calculated for copper Kα.
Kinematic intensities with the Lorentz-polarization factor, no thermal factor.

Structural model:
```
CaHo3Rh4
1.0
4.827 0.000 0.000
0.000 4.827 0.000
0.000 0.000 6.793
Ca Ho Rh
1 3 4
Direct
0.000 0.000 0.000
0.000 0.000 0.500
0.500 0.500 0.000
0.500 0.500 0.500
0.000 0.500 0.258
0.000 0.500 0.742
0.500 0.000 0.258
0.500 0.000 0.742
```

Largest 10 diffraction maxima, in order of falling intensity, 2θ from 10° to 80°:
- d = 2.410 Å, rel. 100
- d = 1.392 Å, rel. 23
- d = 1.707 Å, rel. 12
- d = 1.389 Å, rel. 11
- d = 1.204 Å, rel. 7
- d = 1.698 Å, rel. 6
- d = 6.793 Å, rel. 4
- d = 3.935 Å, rel. 4
- d = 1.207 Å, rel. 4
- d = 4.827 Å, rel. 3

Starting from a crystal structure in Alexandria, relaxed with PBE, the X-ray powder pattern of MnCoOs was calculated for copper Kα.
Kinematic intensities with the Lorentz-polarization factor, no thermal factor.

Structural model:
```
MnCoOs
1.0
4.269 -1.308 0.000
4.269 1.308 0.000
-3.005 0.000 6.595
Mn Co Os
2 2 2
Direct
0.000 0.000 0.000
0.000 0.000 0.500
0.331 0.331 0.658
0.669 0.669 0.342
0.336 0.336 0.175
0.664 0.664 0.825
```

Largest 10 diffraction maxima, in order of falling intensity, 2θ from 10° to 80°:
- d = 2.120 Å, rel. 100
- d = 1.840 Å, rel. 43
- d = 4.192 Å, rel. 33
- d = 2.096 Å, rel. 32
- d = 1.812 Å, rel. 20
- d = 1.296 Å, rel. 19
- d = 6.595 Å, rel. 15
- d = 2.225 Å, rel. 13
- d = 1.286 Å, rel. 13
- d = 3.298 Å, rel. 8

Starting from a crystal structure in Alexandria, relaxed with PBE, the X-ray powder pattern of K3Rb7 was calculated for copper Kα.
Kinematic intensities with the Lorentz-polarization factor, no thermal factor.

Structural model:
```
K3Rb7
1.0
14.427 0.000 0.000
-7.213 12.494 0.000
0.000 0.000 9.772
K Rb
6 14
Direct
0.216 0.433 0.000
0.216 0.784 0.000
0.433 0.216 0.500
0.567 0.784 0.000
0.784 0.216 0.500
0.784 0.567 0.500
0.055 0.528 0.317
0.121 0.242 0.551
0.121 0.879 0.551
0.242 0.121 0.051
0.333 0.667 0.634
0.472 0.528 0.317
0.472 0.945 0.317
0.528 0.055 0.817
0.528 0.472 0.817
0.667 0.333 0.134
0.758 0.879 0.551
0.879 0.121 0.051
0.879 0.758 0.051
0.945 0.472 0.817
```

Largest 10 diffraction maxima, in order of falling intensity, 2θ from 10° to 80°:
- d = 3.831 Å, rel. 100
- d = 4.252 Å, rel. 93
- d = 3.849 Å, rel. 91
- d = 3.607 Å, rel. 33
- d = 4.550 Å, rel. 32
- d = 2.152 Å, rel. 28
- d = 2.629 Å, rel. 26
- d = 2.404 Å, rel. 26
- d = 2.472 Å, rel. 24
- d = 2.421 Å, rel. 23

Starting from a crystal structure in Alexandria, relaxed with PBE, the X-ray powder pattern of Dy3Sb2S was calculated for copper Kα.
Kinematic intensities with the Lorentz-polarization factor, no thermal factor.

Structural model:
```
Dy3Sb2S
1.0
0.000 5.999 12.675
4.238 0.000 12.675
4.238 5.999 0.000
Dy Sb S
12 8 4
Direct
0.040 0.537 0.197
0.106 0.644 0.644
0.197 0.726 0.040
0.274 0.803 0.463
0.356 0.894 0.894
0.463 0.960 0.274
0.537 0.040 0.726
0.644 0.106 0.106
0.726 0.197 0.537
0.803 0.274 0.960
0.894 0.356 0.356
0.960 0.463 0.803
0.127 0.127 0.623
0.294 0.294 0.456
0.377 0.377 0.873
0.456 0.456 0.294
0.544 0.544 0.706
0.623 0.623 0.127
0.706 0.706 0.544
0.873 0.873 0.377
0.042 0.042 0.208
0.208 0.208 0.042
0.792 0.792 0.958
0.958 0.958 0.792
```

Largest 10 diffraction maxima, in order of falling intensity, 2θ from 10° to 80°:
- d = 2.995 Å, rel. 100
- d = 2.118 Å, rel. 61
- d = 1.339 Å, rel. 15
- d = 1.223 Å, rel. 15
- d = 3.458 Å, rel. 13
- d = 1.727 Å, rel. 13
- d = 1.731 Å, rel. 13
- d = 2.113 Å, rel. 12
- d = 1.341 Å, rel. 11
- d = 1.221 Å, rel. 8